Record 1
Starting from the PBE geometry in Alexandria, the PXRD pattern of Tb4PmY2 was calculated for λ = 1.5418 Å (Cu Kα).
Lines closer than 0.1° are merged.

Crystal structure
a b c (Å): 16.818 3.536 8.801
angles (deg): 90.00 119.40 90.00
Fractional positions:
1 Tb 0.142 0.000 0.336
2 Tb 0.205 0.000 0.793
3 Tb 0.295 0.500 0.207
4 Tb 0.358 0.500 0.664
5 Tb 0.642 0.500 0.336
6 Tb 0.705 0.500 0.793
7 Tb 0.795 0.000 0.207
8 Tb 0.858 0.000 0.664
9 Pm 0.000 0.500 0.500
10 Pm 0.500 0.000 0.500
11 Y 0.071 0.500 0.930
12 Y 0.429 0.000 0.070
13 Y 0.571 0.000 0.930
14 Y 0.929 0.500 0.070

Largest 10 diffraction maxima, low angle first, 2θ = 5–70°:
d 2.979, 30.0°, I 41, hkl 3 1 -1
d 2.866, 31.2°, I 100, hkl 2 0 2
d 2.854, 31.3°, I 44, hkl 4 0 -3
d 2.750, 32.6°, I 41, hkl 6 0 -1
d 2.720, 32.9°, I 49, hkl 1 1 -2
d 2.174, 41.5°, I 14, hkl 1 1 -3
d 1.972, 46.0°, I 14, hkl 5 1 1
d 1.897, 47.9°, I 21, hkl 7 1 -3
d 1.504, 61.7°, I 26, hkl 2 2 2
d 1.487, 62.5°, I 13, hkl 6 2 -1


Record 2
Starting from the PBE geometry in Alexandria, the PXRD pattern of Sr3As4Pd4 was calculated for λ = 1.5418 Å (Cu Kα).
Lines closer than 0.1° are merged.

Crystal structure
a b c (Å): 4.414 4.419 12.951
angles (deg): 80.20 80.29 89.99
Fractional positions:
1 Sr 0.000 0.000 0.000
2 Sr 0.351 0.851 0.297
3 Sr 0.649 0.149 0.703
4 As 0.196 0.696 0.607
5 As 0.448 0.446 0.103
6 As 0.552 0.554 0.897
7 As 0.804 0.304 0.393
8 Pd 0.097 0.598 0.806
9 Pd 0.250 0.248 0.502
10 Pd 0.750 0.752 0.498
11 Pd 0.903 0.402 0.194

Largest 10 diffraction maxima, low angle first, 2θ = 5–70°:
d 12.574, 7.0°, I 22, hkl 0 0 1
d 2.797, 32.0°, I 100, hkl 1 1 3
d 2.787, 32.1°, I 44, hkl 0 1 4
d 2.361, 38.1°, I 21, hkl 1 0 5
d 2.208, 40.9°, I 66, hkl 2 0 1
d 2.030, 44.6°, I 21, hkl 1 0 -5
d 1.959, 46.4°, I 20, hkl 1 1 6
d 1.731, 52.9°, I 16, hkl -2 1 3
d 1.561, 59.2°, I 22, hkl 2 2 2
d 1.364, 68.9°, I 20, hkl 1 3 4


Question: What is the formula in the first record?
Answer: Tb4PmY2


What did the second record say?
Starting from the PBE geometry in Alexandria, the PXRD pattern of Sr3As4Pd4 was calculated for λ = 1.5418 Å (Cu Kα).
Lines closer than 0.1° are merged.

Crystal structure
a b c (Å): 4.414 4.419 12.951
angles (deg): 80.20 80.29 89.99
Fractional positions:
1 Sr 0.000 0.000 0.000
2 Sr 0.351 0.851 0.297
3 Sr 0.649 0.149 0.703
4 As 0.196 0.696 0.607
5 As 0.448 0.446 0.103
6 As 0.552 0.554 0.897
7 As 0.804 0.304 0.393
8 Pd 0.097 0.598 0.806
9 Pd 0.250 0.248 0.502
10 Pd 0.750 0.752 0.498
11 Pd 0.903 0.402 0.194

Largest 10 diffraction maxima, low angle first, 2θ = 5–70°:
d 12.574, 7.0°, I 22, hkl 0 0 1
d 2.797, 32.0°, I 100, hkl 1 1 3
d 2.787, 32.1°, I 44, hkl 0 1 4
d 2.361, 38.1°, I 21, hkl 1 0 5
d 2.208, 40.9°, I 66, hkl 2 0 1
d 2.030, 44.6°, I 21, hkl 1 0 -5
d 1.959, 46.4°, I 20, hkl 1 1 6
d 1.731, 52.9°, I 16, hkl -2 1 3
d 1.561, 59.2°, I 22, hkl 2 2 2
d 1.364, 68.9°, I 20, hkl 1 3 4


What did the second record say?
Starting from the PBE geometry in Alexandria, the PXRD pattern of Sr3As4Pd4 was calculated for λ = 1.5418 Å (Cu Kα).
Lines closer than 0.1° are merged.

Crystal structure
a b c (Å): 4.414 4.419 12.951
angles (deg): 80.20 80.29 89.99
Fractional positions:
1 Sr 0.000 0.000 0.000
2 Sr 0.351 0.851 0.297
3 Sr 0.649 0.149 0.703
4 As 0.196 0.696 0.607
5 As 0.448 0.446 0.103
6 As 0.552 0.554 0.897
7 As 0.804 0.304 0.393
8 Pd 0.097 0.598 0.806
9 Pd 0.250 0.248 0.502
10 Pd 0.750 0.752 0.498
11 Pd 0.903 0.402 0.194

Largest 10 diffraction maxima, low angle first, 2θ = 5–70°:
d 12.574, 7.0°, I 22, hkl 0 0 1
d 2.797, 32.0°, I 100, hkl 1 1 3
d 2.787, 32.1°, I 44, hkl 0 1 4
d 2.361, 38.1°, I 21, hkl 1 0 5
d 2.208, 40.9°, I 66, hkl 2 0 1
d 2.030, 44.6°, I 21, hkl 1 0 -5
d 1.959, 46.4°, I 20, hkl 1 1 6
d 1.731, 52.9°, I 16, hkl -2 1 3
d 1.561, 59.2°, I 22, hkl 2 2 2
d 1.364, 68.9°, I 20, hkl 1 3 4


Question: What is the formula in the first record?
Answer: Tb4PmY2